Diffraction record for Li2Mo3O9. The PXRD pattern is theoretical, not measured: it uses DFT lattice parameters and positions (PBE+U) and λ = 1.5418 Å (Cu Kα).
Neutral-atom scattering factors, no anomalous dispersion.

The 10 most intense peaks (2θ = 10–80°), sorted by position:
index  Position (°2θ)  d (Å)  I (rel.)
1 0 0  12.0  7.364  66
1 0 1  14.9  5.928  47
0 0 2  17.8  4.997  67
1 0 2  21.5  4.135  52
2 0 0  24.2  3.682  38
2 0 1  25.8  3.455  100
2 0 2  30.1  2.964  18
1 2 1  33.4  2.681  20
2 0 3  36.4  2.470  16
3 2 2  57.6  1.600  23

Structure:
```
data_Li2Mo3O9
_chemical_formula_sum 'Li4 Mo6 O18'
_cell_length_a 8.503
_cell_length_b 8.503
_cell_length_c 9.993
_cell_angle_alpha 90.00
_cell_angle_beta 90.00
_cell_angle_gamma 120.00
_symmetry_space_group_name_H-M 'P 1'
_symmetry_Int_Tables_number 1
loop_
_symmetry_equiv_pos_as_xyz
'x,y,z'
loop_
_atom_site_label
_atom_site_fract_x
_atom_site_fract_y
_atom_site_fract_z
Li1 0.333 0.667 0.055
Li2 0.333 0.667 0.445
Li3 0.667 0.333 0.555
Li4 0.667 0.333 0.945
Mo1 0.136 0.850 0.250
Mo2 0.150 0.286 0.250
Mo3 0.286 0.136 0.750
Mo4 0.714 0.864 0.250
Mo5 0.850 0.714 0.750
Mo6 0.864 0.150 0.750
O1 0.107 0.882 0.750
O2 0.118 0.224 0.750
O3 0.197 0.783 0.101
O4 0.197 0.783 0.399
O5 0.217 0.414 0.101
O6 0.217 0.414 0.399
O7 0.224 0.107 0.250
O8 0.414 0.197 0.601
O9 0.414 0.197 0.899
O10 0.586 0.803 0.101
O11 0.586 0.803 0.399
O12 0.776 0.893 0.750
O13 0.783 0.586 0.601
O14 0.783 0.586 0.899
O15 0.803 0.217 0.601
O16 0.803 0.217 0.899
O17 0.882 0.776 0.250
O18 0.893 0.118 0.250
```